Entry 1:
This entry pairs a crystal structure of AgB5Pt8 with its computed powder diffraction line list. Radiation: Cu Kα (weighted mean of Kα1 and Kα2). Structure: a GGA-PBE-relaxed structure.

Peak list (6 most intense, 2θ from 15° to 90°, in order of falling intensity)
| d (Å) | Position (°2θ) | Rel. int. |
| --- | --- | --- |
| 2.492 | 36.04 | 100 |
| 2.314 | 38.92 | 77 |
| 2.466 | 36.43 | 49 |
| 1.677 | 54.74 | 44 |
| 2.109 | 42.88 | 42 |
| 2.307 | 39.04 | 38 |

Structural model:
```
AgB5Pt8
1.0
8.685 -1.694 0.000
8.685 1.694 0.000
-1.901 0.000 6.327
Ag B Pt
1 5 8
Direct
0.000 0.000 0.000
0.159 0.159 0.459
0.200 0.200 0.841
0.500 0.500 0.500
0.800 0.800 0.159
0.841 0.841 0.541
0.072 0.072 0.671
0.261 0.261 0.336
0.332 0.332 0.996
0.411 0.411 0.670
0.589 0.589 0.330
0.668 0.668 0.004
0.739 0.739 0.664
0.928 0.928 0.329
```

Entry 2:
This entry pairs a crystal structure of AgBPtRh2 with its computed powder diffraction line list. Radiation: Cu Kα (weighted mean of Kα1 and Kα2). Structure: a GGA-PBE-relaxed structure.

Peak list (6 most intense, 2θ from 15° to 90°, in order of falling intensity)
| d (Å) | Position (°2θ) | Rel. int. |
| --- | --- | --- |
| 2.400 | 37.47 | 100 |
| 2.074 | 43.64 | 34 |
| 1.251 | 76.05 | 25 |
| 1.471 | 63.19 | 22 |
| 2.088 | 43.34 | 18 |
| 1.258 | 75.62 | 13 |

Structural model:
```
AgBPtRh2
1.0
4.148 0.000 0.000
0.000 4.148 0.000
0.000 0.000 4.176
Ag B Pt Rh
1 1 1 2
Direct
0.000 0.000 0.000
0.500 0.500 0.500
0.500 0.500 0.000
0.000 0.500 0.500
0.500 0.000 0.500
```

Entry 3:
This entry pairs a crystal structure of AgSn2B2Rh5 with its computed powder diffraction line list. Radiation: Cu Kα (weighted mean of Kα1 and Kα2). Structure: a GGA-PBE-relaxed structure.

Peak list (6 most intense, 2θ from 15° to 90°, in order of falling intensity)
| d (Å) | Position (°2θ) | Rel. int. |
| --- | --- | --- |
| 2.167 | 41.67 | 100 |
| 2.358 | 38.17 | 93 |
| 2.500 | 35.92 | 86 |
| 2.284 | 39.45 | 55 |
| 2.174 | 41.55 | 51 |
| 2.022 | 44.83 | 36 |

Structural model:
```
AgSn2B2Rh5
1.0
9.721 0.000 0.000
0.000 9.721 0.000
0.000 0.000 3.056
Ag Sn B Rh
2 4 4 10
Direct
0.000 0.000 0.000
0.500 0.500 0.000
0.181 0.319 0.000
0.319 0.819 0.000
0.681 0.181 0.000
0.819 0.681 0.000
0.122 0.622 0.000
0.378 0.122 0.000
0.622 0.878 0.000
0.878 0.378 0.000
0.000 0.500 0.500
0.068 0.771 0.500
0.229 0.068 0.500
0.271 0.568 0.500
0.432 0.271 0.500
0.500 0.000 0.500
0.568 0.729 0.500
0.729 0.432 0.500
0.771 0.932 0.500
0.932 0.229 0.500
```

Entry 4:
This entry pairs a crystal structure of Ag3BS3 with its computed powder diffraction line list. Radiation: Cu Kα (weighted mean of Kα1 and Kα2). Structure: a GGA-PBE-relaxed structure.

Peak list (6 most intense, 2θ from 15° to 90°, in order of falling intensity)
| d (Å) | Position (°2θ) | Rel. int. |
| --- | --- | --- |
| 2.507 | 35.81 | 100 |
| 2.758 | 32.46 | 85 |
| 2.843 | 31.47 | 84 |
| 3.317 | 26.88 | 83 |
| 1.855 | 49.10 | 77 |
| 4.241 | 20.94 | 67 |

Structural model:
```
Ag3BS3
1.0
3.833 -6.629 0.000
3.833 6.629 0.000
0.000 0.000 5.516
Ag B S
6 2 6
Direct
0.199 0.801 0.750
0.200 0.399 0.750
0.399 0.200 0.250
0.601 0.800 0.750
0.800 0.601 0.250
0.801 0.199 0.250
0.333 0.667 0.250
0.667 0.333 0.750
0.195 0.805 0.250
0.196 0.392 0.250
0.392 0.196 0.750
0.608 0.804 0.250
0.804 0.608 0.750
0.805 0.195 0.750
```

Entry 5:
This entry pairs a crystal structure of Ag2B2S5 with its computed powder diffraction line list. Radiation: Cu Kα (weighted mean of Kα1 and Kα2). Structure: a GGA-PBE-relaxed structure.

Peak list (6 most intense, 2θ from 15° to 90°, in order of falling intensity)
| d (Å) | Position (°2θ) | Rel. int. |
| --- | --- | --- |
| 3.778 | 23.55 | 100 |
| 5.879 | 15.07 | 30 |
| 5.166 | 17.17 | 28 |
| 3.506 | 25.41 | 28 |
| 2.355 | 38.22 | 27 |
| 2.883 | 31.01 | 23 |

Structural model:
```
Ag2B2S5
1.0
5.020 -3.778 0.000
5.020 3.778 0.000
-2.006 0.000 5.166
Ag B S
2 2 5
Direct
0.125 0.125 0.427
0.875 0.875 0.573
0.343 0.343 0.089
0.657 0.657 0.911
0.157 0.157 0.905
0.383 0.383 0.434
0.500 0.500 0.000
0.617 0.617 0.566
0.843 0.843 0.095
```

Entry 6:
This entry pairs a crystal structure of Ag4BS4 with its computed powder diffraction line list. Radiation: Cu Kα (weighted mean of Kα1 and Kα2). Structure: a GGA-PBE-relaxed structure.

Peak list (6 most intense, 2θ from 15° to 90°, in order of falling intensity)
| d (Å) | Position (°2θ) | Rel. int. |
| --- | --- | --- |
| 3.203 | 27.86 | 100 |
| 3.021 | 29.57 | 72 |
| 2.105 | 42.96 | 70 |
| 2.136 | 42.31 | 47 |
| 2.071 | 43.70 | 40 |
| 2.602 | 34.46 | 38 |

Structural model:
```
Ag4BS4
1.0
-3.021 3.021 4.840
3.021 -3.021 4.840
3.021 3.021 -4.840
Ag B S
4 1 4
Direct
0.000 0.500 0.500
0.144 0.144 0.000
0.500 0.000 0.500
0.856 0.856 0.000
0.500 0.500 0.000
0.195 0.545 0.000
0.455 0.455 0.650
0.545 0.195 0.000
0.805 0.805 0.350
```

Entry 7:
This entry pairs a crystal structure of Sr2AgB2S6 with its computed powder diffraction line list. Radiation: Cu Kα (weighted mean of Kα1 and Kα2). Structure: a GGA-PBE-relaxed structure.

Peak list (6 most intense, 2θ from 15° to 90°, in order of falling intensity)
| d (Å) | Position (°2θ) | Rel. int. |
| --- | --- | --- |
| 3.380 | 26.37 | 100 |
| 2.458 | 36.56 | 93 |
| 3.198 | 27.90 | 65 |
| 5.361 | 16.54 | 61 |
| 2.323 | 38.77 | 50 |
| 3.842 | 23.15 | 39 |

Structural model:
```
Sr2AgB2S6
1.0
3.198 1.846 7.111
-3.198 1.846 7.111
0.000 -3.692 7.111
Sr Ag B S
2 1 2 6
Direct
0.214 0.214 0.214
0.786 0.786 0.786
0.000 0.000 0.000
0.422 0.422 0.422
0.578 0.578 0.578
0.249 0.739 0.739
0.261 0.261 0.751
0.261 0.751 0.261
0.739 0.249 0.739
0.739 0.739 0.249
0.751 0.261 0.261
```

Entry 8:
This entry pairs a crystal structure of TlAgBS2 with its computed powder diffraction line list. Radiation: Cu Kα (weighted mean of Kα1 and Kα2). Structure: a GGA-PBE-relaxed structure.

Peak list (6 most intense, 2θ from 15° to 90°, in order of falling intensity)
| d (Å) | Position (°2θ) | Rel. int. |
| --- | --- | --- |
| 4.256 | 20.87 | 100 |
| 2.922 | 30.60 | 98 |
| 3.010 | 29.67 | 91 |
| 2.658 | 33.72 | 48 |
| 2.295 | 39.26 | 45 |
| 1.903 | 47.79 | 31 |

Structural model:
```
TlAgBS2
1.0
3.008 -5.682 0.000
3.008 5.682 0.000
0.000 0.000 7.100
Tl Ag B S
2 2 2 4
Direct
0.250 0.750 0.751
0.750 0.250 0.249
0.250 0.250 0.500
0.750 0.750 0.500
0.000 0.000 0.000
0.500 0.500 0.000
0.104 0.896 0.169
0.396 0.604 0.169
0.604 0.396 0.831
0.896 0.104 0.831
```

Entry 9:
This entry pairs a crystal structure of Ag3BSe4 with its computed powder diffraction line list. Radiation: Cu Kα (weighted mean of Kα1 and Kα2). Structure: a GGA-PBE-relaxed structure.

Peak list (6 most intense, 2θ from 15° to 90°, in order of falling intensity)
| d (Å) | Position (°2θ) | Rel. int. |
| --- | --- | --- |
| 3.441 | 25.89 | 100 |
| 3.392 | 26.27 | 90 |
| 3.043 | 29.35 | 73 |
| 1.902 | 47.83 | 61 |
| 1.975 | 45.96 | 50 |
| 1.908 | 47.65 | 40 |

Structural model:
```
Ag3BSe4
1.0
7.803 0.000 0.000
0.000 6.869 0.000
0.000 0.000 6.889
Ag B Se
6 2 8
Direct
0.000 0.120 0.000
0.247 0.679 0.010
0.253 0.321 0.510
0.500 0.880 0.500
0.747 0.321 0.510
0.753 0.679 0.010
0.000 0.821 0.483
0.500 0.179 0.983
0.000 0.103 0.381
0.000 0.807 0.783
0.221 0.685 0.388
0.279 0.315 0.888
0.500 0.193 0.283
0.500 0.897 0.881
0.721 0.315 0.888
0.779 0.685 0.388
```

Entry 10:
This entry pairs a crystal structure of AgB2Se4 with its computed powder diffraction line list. Radiation: Cu Kα (weighted mean of Kα1 and Kα2). Structure: a GGA-PBE-relaxed structure.

Peak list (6 most intense, 2θ from 15° to 90°, in order of falling intensity)
| d (Å) | Position (°2θ) | Rel. int. |
| --- | --- | --- |
| 2.784 | 32.15 | 100 |
| 2.278 | 39.56 | 35 |
| 4.859 | 18.26 | 25 |
| 2.430 | 37.00 | 24 |
| 2.193 | 41.16 | 22 |
| 1.600 | 57.62 | 18 |

Structural model:
```
AgB2Se4
1.0
2.765 -5.091 0.000
2.765 5.091 0.000
0.000 0.000 10.196
Ag B Se
2 4 8
Direct
0.000 0.000 0.250
0.000 0.000 0.750
0.255 0.743 0.000
0.257 0.745 0.500
0.743 0.255 0.500
0.745 0.257 0.000
0.000 0.500 0.151
0.000 0.500 0.849
0.138 0.338 0.500
0.338 0.138 0.000
0.500 0.000 0.349
0.500 0.000 0.651
0.662 0.862 0.000
0.862 0.662 0.500
```

Entry 11:
This entry pairs a crystal structure of Ag4SnB2 with its computed powder diffraction line list. Radiation: Cu Kα (weighted mean of Kα1 and Kα2). Structure: a GGA-PBE-relaxed structure.

Peak list (6 most intense, 2θ from 15° to 90°, in order of falling intensity)
| d (Å) | Position (°2θ) | Rel. int. |
| --- | --- | --- |
| 2.633 | 34.05 | 100 |
| 3.108 | 28.73 | 92 |
| 1.925 | 47.22 | 72 |
| 2.821 | 31.72 | 56 |
| 1.554 | 59.49 | 35 |
| 1.862 | 48.92 | 35 |

Structural model:
```
Ag4SnB2
1.0
-2.633 2.633 5.642
2.633 -2.633 5.642
2.633 2.633 -5.642
Ag Sn B
4 1 2
Direct
0.000 0.500 0.500
0.244 0.244 0.000
0.500 0.000 0.500
0.756 0.756 0.000
0.000 0.000 0.000
0.431 0.431 0.000
0.569 0.569 0.000
```

Entry 12:
This entry pairs a crystal structure of VAgB2 with its computed powder diffraction line list. Radiation: Cu Kα (weighted mean of Kα1 and Kα2). Structure: a GGA-PBE-relaxed structure.

Peak list (6 most intense, 2θ from 15° to 90°, in order of falling intensity)
| d (Å) | Position (°2θ) | Rel. int. |
| --- | --- | --- |
| 2.459 | 36.54 | 100 |
| 3.887 | 22.88 | 67 |
| 1.833 | 49.75 | 59 |
| 1.658 | 55.42 | 28 |
| 1.333 | 70.64 | 26 |
| 2.993 | 29.85 | 18 |

Structural model:
```
VAgB2
1.0
-1.833 1.833 7.773
1.833 -1.833 7.773
1.833 1.833 -7.773
V Ag B
2 2 4
Direct
0.375 0.625 0.750
0.625 0.375 0.250
0.125 0.875 0.250
0.875 0.125 0.750
0.000 0.500 0.500
0.500 0.000 0.000
0.500 0.500 0.000
0.500 0.500 0.500
```

Entry 13:
This entry pairs a crystal structure of ZrAgB with its computed powder diffraction line list. Radiation: Cu Kα (weighted mean of Kα1 and Kα2). Structure: a GGA-PBE-relaxed structure.

Peak list (6 most intense, 2θ from 15° to 90°, in order of falling intensity)
| d (Å) | Position (°2θ) | Rel. int. |
| --- | --- | --- |
| 2.168 | 41.66 | 100 |
| 2.673 | 33.53 | 95 |
| 2.445 | 36.76 | 80 |
| 1.596 | 57.78 | 37 |
| 2.621 | 34.21 | 29 |
| 1.477 | 62.92 | 26 |

Structural model:
```
ZrAgB
1.0
3.191 0.000 0.000
-1.596 2.764 0.000
0.000 0.000 10.485
Zr Ag B
2 2 2
Direct
0.000 0.000 0.163
0.000 0.000 0.837
0.333 0.667 0.392
0.667 0.333 0.608
0.333 0.667 0.999
0.667 0.333 0.001
```

Entry 14:
This entry pairs a crystal structure of ZrAgB with its computed powder diffraction line list. Radiation: Cu Kα (weighted mean of Kα1 and Kα2). Structure: a GGA-PBE-relaxed structure.

Peak list (6 most intense, 2θ from 15° to 90°, in order of falling intensity)
| d (Å) | Position (°2θ) | Rel. int. |
| --- | --- | --- |
| 2.353 | 38.25 | 100 |
| 2.263 | 39.84 | 87 |
| 2.738 | 32.70 | 73 |
| 1.587 | 58.13 | 44 |
| 2.524 | 35.57 | 41 |
| 2.657 | 33.74 | 39 |

Structural model:
```
ZrAgB
1.0
1.587 0.916 10.626
-1.587 0.916 10.626
0.000 -1.832 10.626
Zr Ag B
2 2 2
Direct
0.054 0.054 0.054
0.946 0.946 0.946
0.203 0.203 0.203
0.797 0.797 0.797
0.334 0.334 0.334
0.666 0.666 0.666
```